This entry pairs a crystal structure of Li4Mn3O7 with its calculated X-ray powder pattern. Radiation: Cu Ka. Structure: a crystal structure in the Materials Project, relaxed with PBE+U.

Cell and atoms:
Cell: 5.091 5.310 10.093 Å, 101.66 100.91 96.97°
Space group P-1 (No. 2)
Unique sites:
Li: 0.000 0.000 0.000
Li: 0.000 0.000 0.500
Li: 0.139 0.571 0.143
Li: 0.290 0.148 0.288
Li: 0.418 0.717 0.432
Mn: 0.142 0.570 0.641
Mn: 0.283 0.141 0.782
Mn: 0.428 0.714 0.928
O: 0.034 0.754 0.321
O: 0.084 0.767 0.816
O: 0.196 0.380 0.467
O: 0.230 0.337 0.962
O: 0.335 0.904 0.618
O: 0.371 0.909 0.105
O: 0.481 0.517 0.750

The 6 most intense peaks (5° ≤ 2θ ≤ 70°), by intensity:
(hkl), 2theta, intensity
1 0 -1, 18.32, 100
2 -1 2, 44.19, 54
1 2 -2, 41.03, 34
0 1 3, 36.24, 23
0 2 -1, 34.04, 17
0 3 2, 61.60, 16

This entry pairs a crystal structure of Li3Mn3O8 with its calculated X-ray powder pattern. Radiation: Cu Ka. Structure: a crystal structure in the Materials Project, relaxed with PBE+U.

Cell and atoms:
Cell: 5.7888 5.7888 9.9450 Å, 90.00 90.00 120.00°
Space group P6_3mc (No. 186)
Unique sites:
Li: 0.0000 0.0000 0.0000
Li: 0.3333 0.6667 0.0072
Li: 0.3333 0.6667 0.3924
Mn: 0.1675 0.3349 0.7167
O: 0.0000 0.0000 0.3169
O: 0.0308 0.5154 0.8231
O: 0.1552 0.3105 0.1143
O: 0.3333 0.6667 0.6117

The 6 most intense peaks (5° ≤ 2θ ≤ 70°), by intensity:
(hkl), 2theta, intensity
0 0 2, 17.84, 100
2 0 3, 45.36, 35
1 0 1, 19.83, 35
2 0 1, 36.98, 29
2 0 2, 40.29, 26
2 0 5, 59.31, 22

This entry pairs a crystal structure of Li2MnO3 with its calculated X-ray powder pattern. Radiation: Cu Ka. Structure: a crystal structure in the Materials Project, relaxed with PBE+U.

Cell and atoms:
Cell: 2.9827 2.9827 14.7050 Å, 90.00 90.00 120.00°
Space group P-3m1 (No. 164)
Unique sites:
Li: 0.0000 0.0000 0.0000
Li: 0.0000 0.0000 0.5000
Li: 0.3333 0.6667 0.3527
Mn: 0.3333 0.6667 0.8323
O: 0.0000 0.0000 0.2358
O: 0.3333 0.6667 0.0898
O: 0.3333 0.6667 0.5856

The 6 most intense peaks (5° ≤ 2θ ≤ 70°), by intensity:
(hkl), 2theta, intensity
0 0 1, 6.01, 100
0 1 4, 42.79, 55
0 0 3, 18.10, 46
0 0 2, 12.04, 24
0 1 1, 35.28, 24
1 1 0, 62.25, 15

This entry pairs a crystal structure of Li3Mn2O4 with its calculated X-ray powder pattern. Radiation: Cu Ka. Structure: a crystal structure in the Materials Project, relaxed with PBE+U.

Cell and atoms:
Cell: 6.253 6.274 8.495 Å, 90.00 90.00 90.00°
Space group Imma (No. 74)
Unique sites:
Li: 0.000 0.000 0.000
Li: 0.000 0.250 0.117
Li: 0.250 0.250 0.250
Mn: 0.000 0.000 0.500
Mn: 0.250 0.250 0.750
O: 0.000 0.002 0.245
O: 0.244 0.250 0.983

The 6 most intense peaks (5° ≤ 2θ ≤ 70°), by intensity:
(hkl), 2theta, intensity
0 1 1, 17.59, 100
2 2 0, 40.75, 80
2 1 1, 33.69, 54
2 2 4, 60.39, 45
0 0 4, 42.57, 33
2 0 2, 35.62, 23

This entry pairs a crystal structure of Li2MnO2 with its calculated X-ray powder pattern. Radiation: Cu Ka. Structure: a crystal structure in the Materials Project, relaxed with PBE+U.

Cell and atoms:
Cell: 3.2260 3.2260 5.3340 Å, 90.00 90.00 120.00°
Space group P-3m1 (No. 164)
Unique sites:
Li: 0.3333 0.6667 0.1317
Mn: 0.0000 0.0000 0.5000
O: 0.3333 0.6667 0.7462

The 6 most intense peaks (5° ≤ 2θ ≤ 70°), by intensity:
(hkl), 2theta, intensity
0 1 1, 36.30, 100
0 0 1, 16.62, 77
0 1 2, 47.11, 60
1 1 0, 57.10, 28
1 0 0, 32.04, 21
1 0 3, 61.85, 17

This entry pairs a crystal structure of Li4Mn3O7 with its calculated X-ray powder pattern. Radiation: Cu Ka. Structure: a crystal structure in the Materials Project, relaxed with PBE+U.

Cell and atoms:
Cell: 5.333 20.106 5.279 Å, 90.00 113.26 90.00°
Space group C2/m (No. 12)
Unique sites:
Li: 0.000 0.000 0.000
Li: 0.000 0.069 0.500
Li: 0.000 0.216 0.500
Li: 0.000 0.359 0.500
Li: 0.000 0.500 0.500
Mn: 0.000 0.141 0.000
Mn: 0.000 0.286 0.000
Mn: 0.000 0.429 0.000
O: 0.220 0.500 0.236
O: 0.222 0.215 0.233
O: 0.225 0.359 0.235
O: 0.237 0.426 0.791

The 6 most intense peaks (5° ≤ 2θ ≤ 70°), by intensity:
(hkl), 2theta, intensity
0 0 1, 18.29, 100
1 7 1, 44.24, 55
2 0 -2, 40.73, 35
1 7 0, 36.25, 23
2 0 -1, 33.86, 18
3 7 -1, 61.43, 17

This entry pairs a crystal structure of Li2MnO3 with its calculated X-ray powder pattern. Radiation: Cu Ka. Structure: a crystal structure in the Materials Project, relaxed with PBE+U.

Cell and atoms:
Cell: 2.892 5.095 7.721 Å, 76.57 79.33 73.72°
Space group P-1 (No. 2)
Unique sites:
Li: 0.000 0.000 0.000
Li: 0.000 0.500 0.500
Li: 0.325 0.492 0.854
Mn: 0.332 0.012 0.322
O: 0.027 0.216 0.736
O: 0.318 0.782 0.581
O: 0.326 0.242 0.105

The 6 most intense peaks (5° ≤ 2θ ≤ 70°), by intensity:
(hkl), 2theta, intensity
0 1 0, 18.48, 100
0 0 1, 11.88, 46
-1 1 1, 43.67, 35
1 2 2, 43.85, 35
0 1 -3, 44.15, 32
0 0 2, 23.89, 24

This entry pairs a crystal structure of LiMn3O6 with its calculated X-ray powder pattern. Radiation: Cu Ka. Structure: a crystal structure in the Materials Project, relaxed with PBE+U.

Cell and atoms:
Cell: 13.932 2.918 5.028 Å, 90.00 90.49 90.00°
Space group Cm (No. 8)
Unique sites:
Li: 0.000 0.000 0.000
Mn: 0.049 0.500 0.526
Mn: 0.209 0.000 0.069
Mn: 0.360 0.500 0.602
O: 0.106 0.000 0.717
O: 0.129 0.500 0.211
O: 0.281 0.500 0.912
O: 0.301 0.000 0.426
O: 0.440 0.000 0.775
O: 0.474 0.500 0.365

The 6 most intense peaks (5° ≤ 2θ ≤ 70°), by intensity:
(hkl), 2theta, intensity
2 0 1, 21.89, 100
4 0 -1, 31.11, 55
3 1 0, 36.36, 54
1 1 -1, 36.16, 42
2 0 -1, 21.71, 37
3 1 1, 40.76, 36